1.
The following is a theoretical X-ray diffraction stick pattern of TbYS2. It was derived from a PBE-relaxed structure, using λ = 1.5418 Å (Cu Kα).
Intensities are scaled so that the largest is 100.

Main lines, in order of falling intensity (2θ from 10° to 90°):
2theta  Rel. int.  index
37.45  100.0  0 1 2
27.25  67.7  1 0 0
48.15  29.8  1 1 0
62.55  21.7  2 0 2
82.64  19.8  1 2 2
25.20  19.2  0 0 2
30.09  17.9  1 0 1
73.36  16.6  1 1 4
59.45  15.5  1 0 4
55.11  14.4  1 1 2
12.53  11.8  0 0 1
56.21  9.2  2 0 0

Cell and atoms:
```
data_TbYS2
_cell_length_a 3.7796
_cell_length_b 3.7796
_cell_length_c 7.0669
_cell_angle_alpha 90.00
_cell_angle_beta 90.00
_cell_angle_gamma 120.00
_symmetry_space_group_name_H-M 'P -3 m 1'
_symmetry_Int_Tables_number 164
_symmetry_space_group_name_Hall '-P 3 2"'
loop_
_atom_site_label
_atom_site_type_symbol
_atom_site_fract_x
_atom_site_fract_y
_atom_site_fract_z
Tb1 Tb 0.0000 0.0000 0.0000
Y1 Y 0.0000 0.0000 0.5000
S1 S 0.3333 0.6667 0.7489
```

2.
The following is a theoretical X-ray diffraction stick pattern of Tb2YS. It was derived from a PBE-relaxed structure, using λ = 1.5418 Å (Cu Kα).
Intensities are scaled so that the largest is 100.

Main lines, in order of falling intensity (2θ from 10° to 90°):
2theta  Rel. int.  index
28.17  100.0  1 0 1
36.96  76.9  0 1 8
26.63  60.1  0 0 9
41.24  50.4  1 0 10
31.77  45.9  0 1 5
49.57  45.5  1 1 0
57.14  43.7  1 1 9
28.64  34.0  0 1 2
30.47  27.7  1 0 4
77.03  24.3  1 1 18
63.41  15.6  2 0 8
48.58  15.3  1 0 13

Cell and atoms:
```
data_Tb2YS
_cell_length_a 3.6782
_cell_length_b 3.6782
_cell_length_c 30.1302
_cell_angle_alpha 90.00
_cell_angle_beta 90.00
_cell_angle_gamma 120.00
_symmetry_space_group_name_H-M 'R -3 m'
_symmetry_Int_Tables_number 166
_symmetry_space_group_name_Hall '-R 3 2"'
loop_
_atom_site_label
_atom_site_type_symbol
_atom_site_fract_x
_atom_site_fract_y
_atom_site_fract_z
Tb1 Tb 0.0000 0.0000 0.1120
Y1 Y 0.0000 0.0000 0.0000
S1 S 0.0000 0.0000 0.5000
```

3.
The following is a theoretical X-ray diffraction stick pattern of Tb6ZnS4. It was derived from a PBE-relaxed structure, using λ = 1.5418 Å (Cu Kα).
Intensities are scaled so that the largest is 100.

Main lines, in order of falling intensity (2θ from 10° to 90°):
2theta  Rel. int.  index
29.98  100.0  0 2 6
32.01  85.6  1 3 2
29.67  46.1  1 1 4
45.56  37.6  0 6 4
27.20  37.2  1 1 3
31.05  36.7  1 3 1
56.10  34.4  2 2 6
33.57  34.0  1 3 3
47.64  32.5  1 5 5
46.24  28.4  2 0 0
54.80  26.4  0 0 12
27.79  23.9  0 4 1

Cell and atoms:
```
data_Tb6ZnS4
_cell_length_a 3.927
_cell_length_b 13.008
_cell_length_c 20.117
_cell_angle_alpha 90.00
_cell_angle_beta 90.00
_cell_angle_gamma 90.00
_symmetry_space_group_name_H-M 'C m c m'
_symmetry_Int_Tables_number 63
_symmetry_space_group_name_Hall '-C 2c 2'
loop_
_atom_site_label
_atom_site_type_symbol
_atom_site_fract_x
_atom_site_fract_y
_atom_site_fract_z
Tb1 Tb 0.000 0.000 0.000
Tb2 Tb 0.000 0.170 0.250
Tb3 Tb 0.000 0.273 0.584
Tb4 Tb 0.000 0.457 0.162
Zn1 Zn 0.000 0.158 0.750
S1 S 0.000 0.092 0.123
S2 S 0.000 0.363 0.040
```

4.
The following is a theoretical X-ray diffraction stick pattern of TbZrS4. It was derived from a PBE-relaxed structure, using λ = 1.5418 Å (Cu Kα).
Intensities are scaled so that the largest is 100.

Main lines, in order of falling intensity (2θ from 10° to 90°):
2theta  Rel. int.  index
26.89  100.0  1 1 1
19.86  87.6  0 2 0
20.08  78.3  2 0 0
39.39  71.0  1 3 1
39.62  58.6  3 1 1
49.36  51.6  3 3 1
30.55  30.0  2 0 1
51.13  26.5  0 2 2
40.81  23.1  4 0 0
40.35  19.6  0 4 0
28.39  19.4  2 2 0
46.55  18.0  0 0 2

Cell and atoms:
```
data_TbZrS4
_cell_length_a 8.844
_cell_length_b 8.940
_cell_length_c 3.902
_cell_angle_alpha 90.00
_cell_angle_beta 90.00
_cell_angle_gamma 90.00
_symmetry_space_group_name_H-M 'C m m m'
_symmetry_Int_Tables_number 65
_symmetry_space_group_name_Hall '-C 2 2'
loop_
_atom_site_label
_atom_site_type_symbol
_atom_site_fract_x
_atom_site_fract_y
_atom_site_fract_z
Tb1 Tb 0.000 0.000 0.000
Zr1 Zr 0.000 0.500 0.500
S1 S 0.000 0.310 0.000
S2 S 0.212 0.000 0.500
```

5.
The following is a theoretical X-ray diffraction stick pattern of Th6TcS5. It was derived from a PBE-relaxed structure, using λ = 1.5418 Å (Cu Kα).
Intensities are scaled so that the largest is 100.

Main lines, in order of falling intensity (2θ from 10° to 90°):
2theta  Rel. int.  index
30.96  100.0  2 0 -2
26.73  83.8  2 0 0
44.35  74.7  3 3 -1
55.06  26.4  0 0 4
52.50  21.5  3 3 -3
52.57  21.3  3 3 1
73.27  17.0  3 3 -5
81.66  15.0  2 0 -6
73.35  11.3  0 6 4
71.09  9.0  2 6 -4
71.18  8.8  1 3 -5
64.57  8.1  2 6 2

Cell and atoms:
```
data_Th6TcS5
_cell_length_a 7.085
_cell_length_b 12.251
_cell_length_c 7.075
_cell_angle_alpha 90.00
_cell_angle_beta 109.61
_cell_angle_gamma 90.00
_symmetry_space_group_name_H-M 'C 1 2/m 1'
_symmetry_Int_Tables_number 12
loop_
_symmetry_equiv_pos_as_xyz
'x,y,z'
'-x,-y,-z'
'-x,y,-z'
'x,-y,z'
'x+1/2,y+1/2,z'
'-x+1/2,-y+1/2,-z'
'-x+1/2,y+1/2,-z'
'x+1/2,-y+1/2,z'
loop_
_atom_site_label
_atom_site_type_symbol
_atom_site_fract_x
_atom_site_fract_y
_atom_site_fract_z
Th1 Th 0.245 0.163 0.245
Th2 Th 0.246 0.000 0.752
Tc1 Tc 0.000 0.000 0.000
S1 S 0.000 0.169 0.500
S2 S 0.000 0.334 0.000
S3 S 0.000 0.500 0.500
```

6.
The following is a theoretical X-ray diffraction stick pattern of TeS8. It was derived from a PBE-relaxed structure, using λ = 1.5418 Å (Cu Kα).
Intensities are scaled so that the largest is 100.

Main lines, in order of falling intensity (2θ from 10° to 90°):
2theta  Rel. int.  index
22.43  100.0  1 1 1
27.09  31.9  0 4 4
40.53  29.6  1 5 5
33.98  25.1  0 4 6
26.61  14.4  1 3 1
20.04  13.4  0 4 0
22.00  13.2  0 4 2
34.86  12.1  1 3 5
51.56  11.9  0 10 0
56.36  10.6  2 4 6
52.04  9.4  2 4 4
43.54  9.1  2 0 0

Cell and atoms:
```
data_TeS8
_cell_length_a 4.157
_cell_length_b 17.723
_cell_length_c 19.700
_cell_angle_alpha 90.00
_cell_angle_beta 90.00
_cell_angle_gamma 90.00
_symmetry_space_group_name_H-M 'F m m m'
_symmetry_Int_Tables_number 69
_symmetry_space_group_name_Hall '-F 2 2'
loop_
_atom_site_label
_atom_site_type_symbol
_atom_site_fract_x
_atom_site_fract_y
_atom_site_fract_z
Te1 Te 0.000 0.000 0.000
S1 S 0.000 0.000 0.167
S2 S 0.000 0.092 0.105
S3 S 0.000 0.235 0.000
```